Structure and theoretical powder diffraction line list of BaFeCoPbO5 (DFT lattice parameters and positions (PBE+U); Cu Ka).
Neutral-atom scattering factors, no anomalous dispersion.

```
BaFeCoPbO5
1.0
5.797 0.000 0.000
0.000 4.031 0.000
0.000 0.000 21.285
Ba Fe Co Pb O
4 4 4 4 20
Direct
0.010 0.250 0.188 Ba
0.490 0.750 0.688 Ba
0.510 0.250 0.312 Ba
0.990 0.750 0.812 Ba
0.001 0.750 0.055 Fe
0.499 0.250 0.555 Fe
0.501 0.750 0.445 Fe
0.999 0.250 0.945 Fe
0.010 0.750 0.314 Co
0.490 0.250 0.814 Co
0.510 0.750 0.186 Co
0.990 0.250 0.686 Co
0.011 0.250 0.428 Pb
0.489 0.750 0.928 Pb
0.511 0.250 0.072 Pb
0.989 0.750 0.572 Pb
0.011 0.250 0.322 O
0.022 0.750 0.960 O
0.231 0.250 0.747 O
0.234 0.250 0.607 O
0.243 0.750 0.387 O
0.257 0.250 0.887 O
0.266 0.750 0.107 O
0.269 0.750 0.247 O
0.478 0.250 0.460 O
0.489 0.750 0.822 O
0.511 0.250 0.178 O
0.522 0.750 0.540 O
0.731 0.250 0.753 O
0.734 0.250 0.893 O
0.743 0.750 0.113 O
0.757 0.250 0.613 O
0.766 0.750 0.393 O
0.769 0.750 0.253 O
0.978 0.250 0.040 O
0.989 0.750 0.678 O
```

Principal peaks in the range 10 to 90 degrees two-theta, low angle first:
two_theta	intensity	hkl
15.85	12	1 0 1
25.97	16	1 0 5
30.85	30	2 0 0
31.84	100	1 1 4
33.69	21	0 0 8
44.98	16	0 2 0
46.32	23	2 0 8
55.51	32	2 2 0
59.09	14	1 1 12
66.55	15	2 2 8